[1]
For Na3Sm2BiTe6, a crystal structure in Alexandria, relaxed with PBE gives the simulated powder XRD pattern in this record (a wavelength of 1.5418 Å).
No peak broadening, texture or thermal motion is included.

Atomic structure:
```
data_Na3Sm2BiTe6
_chemical_formula_sum 'Na6 Sm4 Bi2 Te12'
_symmetry_space_group_name_H-M 'C 1 2/m 1'
_symmetry_Int_Tables_number 12
_symmetry_space_group_name_Hall '-C 2y'
_cell_length_a 7.8218
_cell_length_b 13.5490
_cell_length_c 8.0070
_cell_angle_alpha 90.00
_cell_angle_beta 108.98
_cell_angle_gamma 90.00
loop_
_atom_site_label
_atom_site_type_symbol
_atom_site_fract_x
_atom_site_fract_y
_atom_site_fract_z
Na1 Na 0.0000 0.0000 0.0000
Na2 Na 0.0000 0.3375 0.0000
Sm1 Sm 0.0000 0.1673 0.5000
Bi1 Bi 0.0000 0.5000 0.5000
Te1 Te 0.2446 0.0000 0.7351
Te2 Te 0.2459 0.3334 0.7372
```

Largest 8 diffraction maxima, sorted by position, 10 to 90 degrees two-theta:
| (hkl) | 2theta | intensity |
| --- | --- | --- |
| 0 0 1 | 11.69 | 33 |
| 2 0 -1 | 23.08 | 15 |
| 1 3 1 | 27.70 | 100 |
| 2 0 2 | 39.21 | 39 |
| 0 6 0 | 39.93 | 38 |
| 4 0 0 | 49.28 | 20 |
| 3 3 3 | 64.21 | 17 |
| 4 6 0 | 65.22 | 17 |

---

[2]
For GaCu2SnTe4, a crystal structure in Alexandria, relaxed with PBE gives the simulated powder XRD pattern in this record (a wavelength of 1.5418 Å).
No peak broadening, texture or thermal motion is included.

Atomic structure:
```
data_GaCu2SnTe4
_chemical_formula_sum 'Ga4 Cu8 Sn4 Te16'
_symmetry_space_group_name_H-M 'F m m 2'
_symmetry_Int_Tables_number 42
_symmetry_space_group_name_Hall 'F 2 -2'
_cell_length_a 8.9079
_cell_length_b 8.9165
_cell_length_c 12.3049
_cell_angle_alpha 90.00
_cell_angle_beta 90.00
_cell_angle_gamma 90.00
loop_
_atom_site_label
_atom_site_type_symbol
_atom_site_fract_x
_atom_site_fract_y
_atom_site_fract_z
Ga1 Ga 0.0000 0.0000 0.0000
Cu1 Cu 0.2500 0.2500 0.2498
Sn1 Sn 0.0000 0.0000 0.4994
Te1 Te 0.0000 0.2285 0.8584
Te2 Te 0.2291 0.0000 0.1413
```

Largest 8 diffraction maxima, sorted by position, 10 to 90 degrees two-theta:
| (hkl) | 2theta | intensity |
| --- | --- | --- |
| 2 0 2 | 24.67 | 100 |
| 4 0 0 | 40.49 | 25 |
| 2 2 4 | 41.00 | 46 |
| 4 2 2 | 47.99 | 30 |
| 0 2 6 | 48.89 | 12 |
| 4 4 0 | 58.59 | 8 |
| 4 2 6 | 65.29 | 9 |
| 6 2 4 | 73.99 | 13 |

---

[3]
For Nd4Sm4Tl, a crystal structure in Alexandria, relaxed with PBE gives the simulated powder XRD pattern in this record (a wavelength of 1.5418 Å).
No peak broadening, texture or thermal motion is included.

Atomic structure:
```
data_Nd4Sm4Tl
_chemical_formula_sum 'Nd8 Sm8 Tl2'
_symmetry_space_group_name_H-M 'I 4/m m m'
_symmetry_Int_Tables_number 139
_symmetry_space_group_name_Hall '-I 4 2'
_cell_length_a 10.9274
_cell_length_b 10.9274
_cell_length_c 5.0009
_cell_angle_alpha 90.00
_cell_angle_beta 90.00
_cell_angle_gamma 90.00
loop_
_atom_site_label
_atom_site_type_symbol
_atom_site_fract_x
_atom_site_fract_y
_atom_site_fract_z
Nd1 Nd 0.1613 0.1613 0.0000
Sm1 Sm 0.0000 0.3355 0.5000
Tl1 Tl 0.0000 0.0000 0.5000
```

Largest 8 diffraction maxima, sorted by position, 10 to 90 degrees two-theta:
| (hkl) | 2theta | intensity |
| --- | --- | --- |
| 3 0 1 | 30.36 | 100 |
| 3 3 0 | 34.83 | 35 |
| 0 0 2 | 35.92 | 16 |
| 6 0 0 | 50.09 | 12 |
| 3 3 2 | 50.90 | 24 |
| 6 3 1 | 59.70 | 29 |
| 3 0 3 | 61.14 | 14 |
| 6 0 2 | 63.16 | 12 |

---

[4]
For CsCaTl2Cl5, a crystal structure in Alexandria, relaxed with PBE gives the simulated powder XRD pattern in this record (a wavelength of 1.5418 Å).
No peak broadening, texture or thermal motion is included.

Atomic structure:
```
data_CsCaTl2Cl5
_chemical_formula_sum 'Cs2 Ca2 Tl4 Cl10'
_symmetry_space_group_name_H-M 'I m m m'
_symmetry_Int_Tables_number 71
_symmetry_space_group_name_Hall '-I 2 2'
_cell_length_a 5.3116
_cell_length_b 7.7442
_cell_length_c 15.4036
_cell_angle_alpha 90.00
_cell_angle_beta 90.00
_cell_angle_gamma 90.00
loop_
_atom_site_label
_atom_site_type_symbol
_atom_site_fract_x
_atom_site_fract_y
_atom_site_fract_z
Cs1 Cs 0.0000 0.0000 0.0000
Ca1 Ca 0.0000 0.0000 0.5000
Tl1 Tl 0.0000 0.5000 0.2119
Cl1 Cl 0.0000 0.2447 0.3710
Cl2 Cl 0.0000 0.5000 0.0000
```

Largest 8 diffraction maxima, sorted by position, 10 to 90 degrees two-theta:
| (hkl) | 2theta | intensity |
| --- | --- | --- |
| 0 1 3 | 20.76 | 27 |
| 0 2 0 | 22.97 | 23 |
| 1 1 2 | 23.36 | 100 |
| 1 2 1 | 29.12 | 25 |
| 0 2 4 | 32.80 | 30 |
| 1 0 5 | 33.61 | 39 |
| 2 0 0 | 33.75 | 23 |
| 1 3 2 | 40.58 | 24 |

---

[5]
For MgTiPd3, a crystal structure in Alexandria, relaxed with PBE gives the simulated powder XRD pattern in this record (a wavelength of 1.5418 Å).
No peak broadening, texture or thermal motion is included.

Atomic structure:
```
data_MgTiPd3
_chemical_formula_sum 'Mg2 Ti2 Pd6'
_symmetry_space_group_name_H-M 'P 1 21/m 1'
_symmetry_Int_Tables_number 11
_symmetry_space_group_name_Hall '-P 2yb'
_cell_length_a 4.0586
_cell_length_b 5.5211
_cell_length_c 7.4000
_cell_angle_alpha 90.00
_cell_angle_beta 105.83
_cell_angle_gamma 90.00
loop_
_atom_site_label
_atom_site_type_symbol
_atom_site_fract_x
_atom_site_fract_y
_atom_site_fract_z
Mg1 Mg 0.1952 0.2500 0.3885
Ti1 Ti 0.0159 0.7500 0.0308
Pd1 Pd 0.1960 0.7500 0.3934
Pd2 Pd 0.4019 0.5021 0.8036
```

Largest 8 diffraction maxima, sorted by position, 10 to 90 degrees two-theta:
| (hkl) | 2theta | intensity |
| --- | --- | --- |
| 1 1 -1 | 28.00 | 22 |
| 1 0 2 | 38.62 | 100 |
| 1 2 0 | 40.00 | 85 |
| 0 2 2 | 41.39 | 37 |
| 2 0 -1 | 44.65 | 34 |
| 0 2 3 | 50.73 | 23 |
| 2 2 -3 | 62.51 | 21 |
| 1 4 2 | 80.95 | 22 |

---

[6]
For K2Sr5I12, a crystal structure in Alexandria, relaxed with PBE gives the simulated powder XRD pattern in this record (a wavelength of 1.5418 Å).
No peak broadening, texture or thermal motion is included.

Atomic structure:
```
data_K2Sr5I12
_chemical_formula_sum 'K4 Sr10 I24'
_symmetry_space_group_name_H-M 'C 1 2/m 1'
_symmetry_Int_Tables_number 12
_symmetry_space_group_name_Hall '-C 2y'
_cell_length_a 18.2198
_cell_length_b 9.2637
_cell_length_c 11.4281
_cell_angle_alpha 90.00
_cell_angle_beta 107.88
_cell_angle_gamma 90.00
loop_
_atom_site_label
_atom_site_type_symbol
_atom_site_fract_x
_atom_site_fract_y
_atom_site_fract_z
K1 K 0.0000 0.2478 0.0000
Sr1 Sr 0.0000 0.0000 0.5000
Sr2 Sr 0.2275 0.5000 0.3983
Sr3 Sr 0.2352 0.5000 0.9736
I1 I 0.0569 0.5000 0.8178
I2 I 0.0812 0.0000 0.8167
I3 I 0.1314 0.2371 0.4882
I4 I 0.1982 0.2623 0.1632
```

Largest 8 diffraction maxima, sorted by position, 10 to 90 degrees two-theta:
| (hkl) | 2theta | intensity |
| --- | --- | --- |
| 4 0 1 | 24.34 | 100 |
| 0 0 3 | 24.55 | 49 |
| 2 2 -2 | 25.30 | 78 |
| 4 2 -1 | 27.51 | 40 |
| 4 2 -2 | 29.30 | 37 |
| 2 2 -3 | 30.51 | 43 |
| 2 2 3 | 35.39 | 48 |
| 0 4 0 | 38.89 | 36 |